Record 1
Simulated powder X-ray diffraction pattern of Li2Mg2CdGa2 for Cu Kα, 1.54184 Å, from a GGA-PBE-relaxed structure.

Atomic structure:
Unit cell a=10.0215 b=3.8620 c=6.9199 alpha=90.00 beta=99.09 gamma=90.00
Fractional coordinates of all 14 atoms:
Li (0.2071, 0.0000, 0.1503)
Li (0.2929, 0.5000, 0.8497)
Li (0.7071, 0.5000, 0.1503)
Li (0.7929, 0.0000, 0.8497)
Mg (0.0739, 0.0000, 0.7059)
Mg (0.4261, 0.5000, 0.2941)
Mg (0.5739, 0.5000, 0.7059)
Mg (0.9261, 0.0000, 0.2941)
Cd (0.0000, 0.5000, 0.0000)
Cd (0.5000, 0.0000, 0.0000)
Ga (0.1570, 0.5000, 0.4295)
Ga (0.3430, 0.0000, 0.5705)
Ga (0.6570, 0.0000, 0.4295)
Ga (0.8430, 0.5000, 0.5705)

The 6 most intense peaks (10 to 90 degrees two-theta), low angle first:
- 20.43°, 4.347 Å, I 62.9
- 24.75°, 3.598 Å, I 55.7
- 36.65°, 2.452 Å, I 100.0
- 37.32°, 2.409 Å, I 91.9
- 40.70°, 2.217 Å, I 34.0
- 40.92°, 2.206 Å, I 34.9


Record 2
Simulated powder X-ray diffraction pattern of NbMoW for Cu Kα, 1.54184 Å, from a GGA-PBE-relaxed structure.

Atomic structure:
Unit cell a=4.5622 b=3.2077 c=13.6332 alpha=90.00 beta=90.06 gamma=90.00
Fractional coordinates of all 12 atoms:
Nb (0.2497, 0.0000, 0.2486)
Nb (0.2503, 0.5000, 0.7514)
Nb (0.7503, 0.0000, 0.7514)
Nb (0.7497, 0.5000, 0.2486)
Mo (0.2499, 0.0000, 0.9201)
Mo (0.2501, 0.5000, 0.0799)
Mo (0.7501, 0.0000, 0.0799)
Mo (0.7499, 0.5000, 0.9201)
W (0.2503, 0.0000, 0.5811)
W (0.2497, 0.5000, 0.4189)
W (0.7497, 0.0000, 0.4189)
W (0.7503, 0.5000, 0.5811)

The 6 most intense peaks (10 to 90 degrees two-theta), low angle first:
- 39.51°, 2.281 Å, I 20.3
- 39.66°, 2.272 Å, I 100.0
- 57.23°, 1.610 Å, I 13.5
- 71.76°, 1.315 Å, I 13.8
- 71.98°, 1.312 Å, I 20.3
- 85.46°, 1.136 Å, I 11.1


Record 3
Simulated powder X-ray diffraction pattern of SiSF2 for Cu Kα, 1.54184 Å, from a GGA-PBE-relaxed structure.

Atomic structure:
Unit cell a=5.8057 b=4.9605 c=12.5347 alpha=90.00 beta=90.00 gamma=90.00
Fractional coordinates of all 16 atoms:
Si (0.2500, 0.0000, 0.1626)
Si (0.2500, 0.5000, 0.3374)
Si (0.7500, 0.0000, 0.8374)
Si (0.7500, 0.5000, 0.6626)
S (0.0199, 0.2500, 0.2500)
S (0.4801, 0.7500, 0.2500)
S (0.5199, 0.2500, 0.7500)
S (0.9801, 0.7500, 0.7500)
F (0.0823, 0.6750, 0.4113)
F (0.0823, 0.8250, 0.0887)
F (0.4177, 0.1750, 0.0887)
F (0.4177, 0.3250, 0.4113)
F (0.5823, 0.6750, 0.5887)
F (0.5823, 0.8250, 0.9113)
F (0.9177, 0.1750, 0.9113)
F (0.9177, 0.3250, 0.5887)

The 6 most intense peaks (10 to 90 degrees two-theta), low angle first:
- 14.13°, 6.267 Å, I 43.8
- 16.83°, 5.268 Å, I 100.0
- 19.24°, 4.612 Å, I 43.0
- 27.60°, 3.231 Å, I 40.4
- 31.97°, 2.800 Å, I 95.6
- 48.26°, 1.886 Å, I 17.2